UTaV2O6: simulated PXRD pattern (Cu Kα (weighted mean of Kα1 and Kα2)), based on a GGA+U-relaxed structure.
Intensities are scaled so that the largest is 100.

Cell and atoms:
```
data_UTaV2O6
_chemical_formula_sum 'U3 Ta3 V6 O18'
_cell_length_a 5.4177
_cell_length_b 5.4177
_cell_length_c 15.0016
_cell_angle_alpha 90.00
_cell_angle_beta 90.00
_cell_angle_gamma 120.00
_space_group_name_H-M_alt 'R 3'
_space_group_IT_number 146
_space_group_name_Hall 'R 3'
loop_
_atom_site_label
_atom_site_type_symbol
_atom_site_fract_x
_atom_site_fract_y
_atom_site_fract_z
_atom_site_occupancy
U1 U 0.0000 0.0000 0.0000 1
Ta1 Ta 0.0000 0.0000 0.4958 1
V1 V 0.0000 0.0000 0.3006 1
V2 V 0.0000 0.0000 0.8017 1
O1 O 0.0083 0.2943 0.4020 1
O2 O 0.0219 0.6855 0.5609 1
```

Largest 10 diffraction maxima, low angle first, 2θ from 15° to 90°:
Position (°2θ)	intensity
22.35	100
30.51	76
33.07	70
40.28	20
45.61	28
49.62	52
53.06	20
57.48	28
59.07	21
80.68	12